No. 1
Computed powder X-ray diffraction pattern
Compound: CoOF
Radiation: CuKα
Structure: the GGA+U geometry in the Materials Project

Structure:
Lattice parameters (Å, degrees): 4.647 2.949 18.510 90.00 96.62 90.00
Space group Pm (No. 6)
Inequivalent atoms, fractional coordinates:
Co1 0.000 0.000 0.000
Co2 0.013 0.000 0.749
Co3 0.040 0.000 0.498
Co4 0.492 0.500 0.127
Co5 0.507 0.500 0.874
Co6 0.521 0.500 0.623
Co7 0.567 0.500 0.373
Co8 0.961 0.000 0.251
O1 0.301 0.000 0.079
O2 0.320 0.000 0.826
O3 0.333 0.000 0.575
O4 0.673 0.000 0.176
O5 0.695 0.000 0.922
O6 0.707 0.000 0.672
O7 0.755 0.000 0.423
O8 0.802 0.500 0.295
F1 0.152 0.500 0.205
F2 0.196 0.500 0.951
F3 0.210 0.500 0.701
F4 0.245 0.500 0.451
F5 0.305 0.000 0.325
F6 0.805 0.500 0.049
F7 0.818 0.500 0.798
F8 0.842 0.500 0.546

Largest 6 diffraction maxima, sorted by position, 10° ≤ 2θ ≤ 90°:
2theta  intensity  hkl
25.7  100.0  1 0 -4
29.0  82.3  1 0 4
36.2  94.3  0 1 4
52.4  28.7  2 1 -4
52.5  30.9  1 1 -8
56.1  44.3  1 1 8

=====

No. 2
Computed powder X-ray diffraction pattern
Compound: Co3OF5
Radiation: CuKα
Structure: the GGA+U geometry in the Materials Project

Structure:
Lattice parameters (Å, degrees): 4.700 5.669 7.846 87.07 88.36 88.27
Space group P-1 (No. 2)
Inequivalent atoms, fractional coordinates:
Co1 0.000 0.000 0.000
Co2 0.000 0.331 0.663
Co3 0.466 0.842 0.692
Co4 0.500 0.500 0.000
O1 0.285 0.809 0.905
F1 0.193 0.966 0.231
F2 0.195 0.631 0.568
F3 0.198 0.294 0.896
F4 0.309 0.458 0.236
F5 0.312 0.131 0.557

Largest 6 diffraction maxima, sorted by position, 10° ≤ 2θ ≤ 90°:
2theta  intensity  hkl
26.3  100.0  1 1 1
27.4  89.4  -1 1 1
34.2  55.7  0 2 -1
34.4  50.0  1 1 -2
51.7  50.1  2 0 3
52.8  28.7  2 -2 1

=====

No. 3
Computed powder X-ray diffraction pattern
Compound: Co3O4F2
Radiation: CuKα
Structure: the GGA+U geometry in the Materials Project

Structure:
Lattice parameters (Å, degrees): 4.619 5.496 7.448 84.55 86.24 83.78
Space group P1 (No. 1)
Inequivalent atoms, fractional coordinates:
Co1 0.000 0.000 0.000
Co2 0.004 0.318 0.673
Co3 0.011 0.667 0.333
Co4 0.512 0.165 0.335
Co5 0.546 0.854 0.682
Co6 0.563 0.539 0.021
O1 0.321 0.126 0.573
O2 0.324 0.804 0.905
O3 0.330 0.474 0.234
O4 0.705 0.867 0.441
O5 0.713 0.545 0.775
O6 0.717 0.215 0.105
O7 0.823 0.033 0.787
O8 0.835 0.727 0.104
F1 0.197 0.282 0.908
F2 0.197 0.621 0.564
F3 0.206 0.979 0.222
F4 0.815 0.361 0.439

Largest 6 diffraction maxima, sorted by position, 10° ≤ 2θ ≤ 90°:
2theta  intensity  hkl
25.8  100.0  1 1 1
29.2  84.0  -1 1 1
36.1  48.5  1 1 -2
36.4  45.3  0 0 3
52.3  27.9  2 2 -1
53.0  41.3  1 1 4

=====

No. 4
Computed powder X-ray diffraction pattern
Compound: Co2PO4F
Radiation: CuKα
Structure: the GGA+U geometry in the Materials Project

Structure:
Lattice parameters (Å, degrees): 13.170 6.480 9.852 90.00 119.27 90.00
Space group C2/c (No. 15)
Inequivalent atoms, fractional coordinates:
Co1 0.056 0.223 0.002
Co2 0.156 0.401 0.357
P1 0.177 0.095 0.808
O1 0.081 0.038 0.640
O2 0.133 0.284 0.863
O3 0.195 0.087 0.421
O4 0.208 0.351 0.192
F1 0.013 0.395 0.392

Largest 6 diffraction maxima, sorted by position, 10° ≤ 2θ ≤ 90°:
2theta  intensity  hkl
24.5  50.7  3 1 -1
27.7  72.0  4 0 -2
29.5  89.6  0 2 1
31.5  100.0  2 0 2
31.6  48.2  3 1 -3
43.0  27.6  1 3 -1

=====

No. 5
Computed powder X-ray diffraction pattern
Compound: CoSb2S2O4F12
Radiation: CuKα
Structure: the GGA+U geometry in the Materials Project

Structure:
Lattice parameters (Å, degrees): 5.203 8.780 15.935 93.57 97.95 91.30
Space group P-1 (No. 2)
Inequivalent atoms, fractional coordinates:
Co1 0.000 0.000 0.000
Co2 0.000 0.000 0.500
Sb1 0.469 0.235 0.381
Sb2 0.469 0.235 0.881
S1 0.000 0.286 0.149
S2 0.001 0.286 0.649
O1 0.094 0.853 0.404
O2 0.096 0.852 0.904
O3 0.252 0.346 0.139
O4 0.253 0.346 0.638
F1 0.217 0.175 0.956
F2 0.218 0.175 0.457
F3 0.264 0.404 0.349
F4 0.264 0.404 0.849
F5 0.274 0.104 0.294
F6 0.274 0.105 0.794
F7 0.278 0.726 0.191
F8 0.278 0.726 0.691
F9 0.335 0.944 0.079
F10 0.335 0.944 0.579
F11 0.341 0.648 0.025
F12 0.341 0.649 0.525

Largest 6 diffraction maxima, sorted by position, 10° ≤ 2θ ≤ 90°:
2theta  intensity  hkl
15.6  100.0  0 1 2
20.3  47.1  0 2 0
21.7  87.5  1 1 -2
21.9  41.2  -1 1 2
22.6  33.4  0 0 4
23.6  73.1  1 -1 2

=====

No. 6
Computed powder X-ray diffraction pattern
Compound: CoSiO6F6
Radiation: CuKα
Structure: the GGA+U geometry in the Materials Project

Structure:
Lattice parameters (Å, degrees): 5.895 8.573 7.355 90.00 99.99 90.00
Space group P2_1/c (No. 14)
Inequivalent atoms, fractional coordinates:
Co1 0.000 0.000 0.000
Si1 0.500 0.000 0.500
O1 0.047 0.030 0.768
O2 0.120 0.178 0.102
O3 0.277 0.596 0.533
F1 0.271 0.627 0.968
F2 0.320 0.147 0.408
F3 0.447 0.044 0.718

Largest 6 diffraction maxima, sorted by position, 10° ≤ 2θ ≤ 90°:
2theta  intensity  hkl
20.7  100.0  0 2 0
23.6  34.9  1 1 1
24.6  17.0  0 0 2
37.4  15.3  2 2 0
38.1  10.9  1 3 1
39.3  12.5  1 1 -3